(1)
Simulated powder diffraction line list of Eu5As3 for Cu Kα X-rays, from a structure optimized by DFT (PBE).
Kinematic intensities with the Lorentz-polarization factor, no thermal factor.

Principal peaks in the range 2θ from 10° to 80°, by angle:
d [Å]	2θ (°)	Rel. int.
3.845	23.13	14
3.442	25.89	14
3.142	28.41	29
2.907	30.76	33
2.720	32.93	100
2.678	33.47	88
2.563	35.00	56
1.866	48.82	25
1.801	50.69	27
1.709	53.63	16
1.678	54.69	31
1.429	65.31	17

abc: 8.8797 8.8797 6.8837
angles: 90.00 90.00 120.00
Atoms (fractional coordinates):
Eu: 0.0000 0.2553 0.2500
Eu: 0.0000 0.7447 0.7500
Eu: 0.2553 0.0000 0.2500
Eu: 0.2553 0.2553 0.7500
Eu: 0.3333 0.6667 0.0000
Eu: 0.3333 0.6667 0.5000
Eu: 0.6667 0.3333 0.0000
Eu: 0.6667 0.3333 0.5000
Eu: 0.7447 0.0000 0.7500
Eu: 0.7447 0.7447 0.2500
As: 0.0000 0.3898 0.7500
As: 0.0000 0.6102 0.2500
As: 0.3898 0.0000 0.7500
As: 0.3898 0.3898 0.2500
As: 0.6102 0.0000 0.2500
As: 0.6102 0.6102 0.7500

(2)
Simulated powder diffraction line list of EuAs for Cu Kα X-rays, from a structure optimized by DFT (PBE).
Kinematic intensities with the Lorentz-polarization factor, no thermal factor.

Principal peaks in the range 2θ from 10° to 80°, by angle:
d [Å]	2θ (°)	Rel. int.
3.363	26.51	100
2.453	36.64	58
2.309	39.00	55
1.904	47.78	20
1.838	49.59	18
1.681	54.58	18
1.469	63.31	17
1.438	64.83	8
1.359	69.10	18
1.333	70.64	9
1.288	73.51	17
1.221	78.32	10

abc: 4.6189 4.6189 6.2090
angles: 90.00 90.00 120.00
Atoms (fractional coordinates):
Eu: 0.0000 0.0000 0.0000
Eu: 0.3333 0.6667 0.5000
As: 0.6667 0.3333 0.2537
As: 0.6667 0.3333 0.7463

(3)
Simulated powder diffraction line list of Eu2As3 for Cu Kα X-rays, from a structure optimized by DFT (PBE).
Kinematic intensities with the Lorentz-polarization factor, no thermal factor.

Principal peaks in the range 2θ from 10° to 80°, by angle:
d [Å]	2θ (°)	Rel. int.
3.551	25.08	26
3.198	27.90	31
3.172	28.13	36
2.847	31.42	68
2.823	31.70	66
2.763	32.41	100
2.750	32.56	37
2.729	32.82	35
2.650	33.82	44
2.363	38.07	27
2.153	41.97	70
2.067	43.79	26

abc: 12.3677 5.9974 18.7260
angles: 90.00 130.67 90.00
Atoms (fractional coordinates):
Eu: 0.0000 0.0342 0.2500
Eu: 0.0000 0.9658 0.7500
Eu: 0.1339 0.2601 0.5085
Eu: 0.1339 0.7399 0.0085
Eu: 0.2395 0.4554 0.2493
Eu: 0.2395 0.5446 0.7493
Eu: 0.3751 0.2463 0.0001
Eu: 0.3751 0.7537 0.5001
Eu: 0.5000 0.0844 0.2500
Eu: 0.5000 0.9156 0.7500
Eu: 0.6249 0.2463 0.4999
Eu: 0.6249 0.7537 0.9999
Eu: 0.7605 0.4554 0.2507
Eu: 0.7605 0.5446 0.7507
Eu: 0.8661 0.2601 0.9915
Eu: 0.8661 0.7399 0.4915
As: 0.0768 0.4588 0.8411
As: 0.0768 0.5412 0.3411
As: 0.1600 0.0445 0.6713
As: 0.1600 0.9555 0.1713
As: 0.1888 0.2272 0.0780
As: 0.1888 0.7728 0.5780
As: 0.2861 0.2649 0.4214
As: 0.2861 0.7351 0.9214
As: 0.3917 0.0958 0.8435
As: 0.3917 0.9042 0.3435
As: 0.4546 0.3958 0.6668
As: 0.4546 0.6042 0.1668
As: 0.5454 0.3958 0.8332
As: 0.5454 0.6042 0.3332
As: 0.6083 0.0958 0.6565
As: 0.6083 0.9042 0.1565
As: 0.7139 0.2649 0.0786
As: 0.7139 0.7351 0.5786
As: 0.8112 0.2272 0.4220
As: 0.8112 0.7728 0.9220
As: 0.8400 0.0445 0.8287
As: 0.8400 0.9555 0.3287
As: 0.9232 0.4588 0.6589
As: 0.9232 0.5412 0.1589

(4)
Simulated powder diffraction line list of EuAs for Cu Kα X-rays, from a structure optimized by DFT (PBE).
Kinematic intensities with the Lorentz-polarization factor, no thermal factor.

Principal peaks in the range 2θ from 10° to 80°, by angle:
d [Å]	2θ (°)	Rel. int.
3.363	26.51	100
2.453	36.64	57
2.309	39.00	55
1.904	47.78	20
1.838	49.59	18
1.681	54.58	18
1.469	63.31	17
1.438	64.83	8
1.359	69.10	17
1.333	70.64	9
1.288	73.51	16
1.221	78.32	9

abc: 8.0002 8.0002 6.2090
angles: 90.00 90.00 120.00
Atoms (fractional coordinates):
Eu: 0.0000 0.3254 0.0000
Eu: 0.0000 0.6582 0.5000
Eu: 0.3254 0.0000 0.0000
Eu: 0.3418 0.3418 0.5000
Eu: 0.6582 0.0000 0.5000
Eu: 0.6746 0.6746 0.0000
As: 0.0000 0.0000 0.2722
As: 0.0000 0.0000 0.7278
As: 0.3333 0.6667 0.2333
As: 0.3333 0.6667 0.7667
As: 0.6667 0.3333 0.2333
As: 0.6667 0.3333 0.7667

(5)
Simulated powder diffraction line list of Eu5As4 for Cu Kα X-rays, from a structure optimized by DFT (PBE).
Kinematic intensities with the Lorentz-polarization factor, no thermal factor.

Principal peaks in the range 2θ from 10° to 80°, by angle:
d [Å]	2θ (°)	Rel. int.
3.588	24.82	33
3.503	25.42	19
2.945	30.35	100
2.840	31.50	36
2.778	32.23	74
2.705	33.11	21
2.623	34.18	70
2.564	35.00	31
2.511	35.75	50
2.502	35.89	52
1.776	51.44	23
1.662	55.27	22

abc: 8.6733 8.6733 8.0532
angles: 90.00 90.00 55.04
Atoms (fractional coordinates):
Eu: 0.0000 0.0000 0.0000
Eu: 0.0287 0.6885 0.6651
Eu: 0.1885 0.5287 0.1651
Eu: 0.3115 0.9713 0.6651
Eu: 0.4713 0.8115 0.1651
Eu: 0.5000 0.5000 0.5000
Eu: 0.5287 0.1885 0.8349
Eu: 0.6885 0.0287 0.3349
Eu: 0.8115 0.4713 0.8349
Eu: 0.9713 0.3115 0.3349
As: 0.1244 0.8756 0.3755
As: 0.2001 0.2001 0.0000
As: 0.2999 0.2999 0.5000
As: 0.3756 0.6244 0.8755
As: 0.6244 0.3756 0.1245
As: 0.7001 0.7001 0.5000
As: 0.7999 0.7999 0.0000
As: 0.8756 0.1244 0.6245

(6)
Simulated powder diffraction line list of EuFe2As2 for Cu Kα X-rays, from a structure optimized by DFT (PBE).
Kinematic intensities with the Lorentz-polarization factor, no thermal factor.

Principal peaks in the range 2θ from 10° to 80°, by angle:
d [Å]	2θ (°)	Rel. int.
3.728	23.87	8
2.810	31.85	24
2.663	33.66	100
2.491	36.06	57
1.987	45.66	45
1.893	48.07	17
1.592	57.91	41
1.512	61.31	26
1.405	66.56	14
1.370	68.46	12
1.243	76.69	9
1.224	78.10	11

abc: 3.9737 3.9737 10.7637
angles: 90.00 90.00 90.00
Atoms (fractional coordinates):
Eu: 0.0000 0.0000 0.0000
Eu: 0.5000 0.5000 0.5000
Fe: 0.0000 0.5000 0.2500
Fe: 0.0000 0.5000 0.7500
Fe: 0.5000 0.0000 0.2500
Fe: 0.5000 0.0000 0.7500
As: 0.0000 0.0000 0.3589
As: 0.0000 0.0000 0.6411
As: 0.5000 0.5000 0.1411
As: 0.5000 0.5000 0.8589

(7)
Simulated powder diffraction line list of EuGa2As2 for Cu Kα X-rays, from a structure optimized by DFT (PBE).
Kinematic intensities with the Lorentz-polarization factor, no thermal factor.

Principal peaks in the range 2θ from 10° to 80°, by angle:
d [Å]	2θ (°)	Rel. int.
7.918	11.17	9
3.420	26.06	11
3.107	28.73	100
3.058	29.21	10
2.974	30.05	12
2.877	31.09	9
2.497	35.97	15
2.134	42.34	22
2.049	44.21	22
2.025	44.76	11
1.887	48.22	10
1.710	53.60	10

abc: 9.5776 4.0975 12.4693
angles: 90.00 95.19 90.00
Atoms (fractional coordinates):
Eu: 0.0000 0.0000 0.0000
Eu: 0.2007 0.5000 0.2761
Eu: 0.5000 0.0000 0.5000
Eu: 0.7993 0.5000 0.7239
Ga: 0.1090 0.0000 0.5627
Ga: 0.1943 0.5000 0.8241
Ga: 0.3954 0.5000 0.7185
Ga: 0.3980 0.0000 0.0543
Ga: 0.6020 0.0000 0.9457
Ga: 0.6046 0.5000 0.2815
Ga: 0.8057 0.5000 0.1759
Ga: 0.8910 0.0000 0.4373
As: 0.0478 0.0000 0.7595
As: 0.2396 0.5000 0.0261
As: 0.2624 0.5000 0.5316
As: 0.4467 0.0000 0.2566
As: 0.5533 0.0000 0.7434
As: 0.7376 0.5000 0.4684
As: 0.7604 0.5000 0.9739
As: 0.9522 0.0000 0.2405

(8)
Simulated powder diffraction line list of EuIn2As2 for Cu Kα X-rays, from a structure optimized by DFT (PBE).
Kinematic intensities with the Lorentz-polarization factor, no thermal factor.

Principal peaks in the range 2θ from 10° to 80°, by angle:
d [Å]	2θ (°)	Rel. int.
3.660	24.32	24
3.447	25.85	86
3.162	28.22	35
2.860	31.27	100
2.575	34.84	22
2.160	41.83	91
2.099	43.09	62
1.744	52.45	24
1.724	53.14	22
1.505	61.61	20
1.347	69.81	19
1.235	77.26	21

abc: 4.3195 4.3195 17.7525
angles: 90.00 90.00 120.00
Atoms (fractional coordinates):
Eu: 0.0000 0.0000 0.0000
Eu: 0.0000 0.0000 0.5000
In: 0.3333 0.6667 0.1704
In: 0.3333 0.6667 0.3296
In: 0.6667 0.3333 0.6704
In: 0.6667 0.3333 0.8296
As: 0.3333 0.6667 0.6040
As: 0.3333 0.6667 0.8960
As: 0.6667 0.3333 0.1040
As: 0.6667 0.3333 0.3960

(9)
Simulated powder diffraction line list of EuMn2As2 for Cu Kα X-rays, from a structure optimized by DFT (PBE).
Kinematic intensities with the Lorentz-polarization factor, no thermal factor.

Principal peaks in the range 2θ from 10° to 80°, by angle:
d [Å]	2θ (°)	Rel. int.
3.125	28.57	100
2.488	36.10	57
2.375	37.88	13
2.007	45.17	52
1.961	46.30	26
1.689	54.32	16
1.585	58.20	9
1.562	59.13	13
1.533	60.38	20
1.403	66.67	8
1.292	73.24	13
1.233	77.40	12

abc: 4.0148 4.0148 7.1247
angles: 90.00 90.00 120.00
Atoms (fractional coordinates):
Eu: 0.0000 0.0000 0.0000
Mn: 0.3333 0.6667 0.6143
Mn: 0.6667 0.3333 0.3857
As: 0.3333 0.6667 0.2752
As: 0.6667 0.3333 0.7248

(10)
Simulated powder diffraction line list of Na4Eu2SiAs4 for Cu Kα X-rays, from a structure optimized by DFT (PBE).
Kinematic intensities with the Lorentz-polarization factor, no thermal factor.

Principal peaks in the range 2θ from 10° to 80°, by angle:
d [Å]	2θ (°)	Rel. int.
8.301	10.66	100
5.520	16.06	28
3.589	24.81	25
2.906	30.76	15
2.874	31.11	20
2.865	31.22	17
2.761	32.42	48
2.733	32.76	40
2.722	32.91	41
2.575	34.84	29
2.402	37.44	29
2.387	37.68	43

abc: 9.5485 9.5485 7.2990
angles: 90.47 90.47 119.57
Atoms (fractional coordinates):
Na: 0.0640 0.3506 0.4930
Na: 0.0716 0.9284 0.5000
Na: 0.1619 0.6867 0.8098
Na: 0.3481 0.4961 0.9896
Na: 0.3506 0.0640 0.9930
Na: 0.4961 0.3481 0.4896
Na: 0.6867 0.1619 0.3098
Na: 0.9284 0.0716 0.0000
Eu: 0.2577 0.7367 0.3116
Eu: 0.6902 0.7386 0.3113
Eu: 0.7367 0.2577 0.8116
Eu: 0.7386 0.6902 0.8112
Si: 0.5406 0.8757 0.6909
Si: 0.8757 0.5406 0.1909
As: 0.0163 0.8228 0.0960
As: 0.0194 0.4072 0.0916
As: 0.4072 0.0194 0.5916
As: 0.4071 0.5974 0.5853
As: 0.5471 0.8743 0.0266
As: 0.5974 0.4071 0.0853
As: 0.8228 0.0163 0.5960
As: 0.8743 0.5471 0.5266

(11)
Simulated powder diffraction line list of Na4Eu2SnAs4 for Cu Kα X-rays, from a structure optimized by DFT (PBE).
Kinematic intensities with the Lorentz-polarization factor, no thermal factor.

Principal peaks in the range 2θ from 10° to 80°, by angle:
d [Å]	2θ (°)	Rel. int.
8.491	10.42	100
5.620	15.77	32
2.960	30.19	21
2.948	30.32	11
2.934	30.47	25
2.926	30.55	10
2.810	31.85	29
2.786	32.13	29
2.766	32.37	31
2.629	34.10	10
2.450	36.67	67
1.948	46.63	11

abc: 9.7978 9.7978 7.3929
angles: 90.53 90.53 119.91
Atoms (fractional coordinates):
Na: 0.0728 0.9272 0.5000
Na: 0.3114 0.8392 0.1824
Na: 0.4935 0.6449 0.0125
Na: 0.6437 0.9349 0.5078
Na: 0.6449 0.4935 0.5125
Na: 0.8392 0.3114 0.6824
Na: 0.9272 0.0728 0.0000
Na: 0.9349 0.6437 0.0078
Eu: 0.2553 0.3062 0.6801
Eu: 0.2568 0.7333 0.6824
Eu: 0.3062 0.2553 0.1801
Eu: 0.7333 0.2568 0.1824
Sn: 0.1208 0.4573 0.3060
Sn: 0.4573 0.1208 0.8060
As: 0.1214 0.4489 0.9441
As: 0.1581 0.9740 0.9040
As: 0.4144 0.5949 0.4241
As: 0.4489 0.1214 0.4441
As: 0.5949 0.4144 0.9241
As: 0.5968 0.9679 0.9130
As: 0.9679 0.5968 0.4130
As: 0.9740 0.1581 0.4040

(12)
Simulated powder diffraction line list of EuNi2As2 for Cu Kα X-rays, from a structure optimized by DFT (PBE).
Kinematic intensities with the Lorentz-polarization factor, no thermal factor.

Principal peaks in the range 2θ from 10° to 80°, by angle:
d [Å]	2θ (°)	Rel. int.
2.904	30.79	27
2.614	34.31	100
2.522	35.60	84
2.053	44.10	61
1.912	47.54	8
1.822	50.06	23
1.615	57.03	46
1.463	63.58	23
1.452	64.14	19
1.363	68.89	18
1.270	74.76	16
1.258	75.56	17

abc: 4.1070 4.1070 10.1656
angles: 90.00 90.00 90.00
Atoms (fractional coordinates):
Eu: 0.0000 0.0000 0.0000
Eu: 0.5000 0.5000 0.5000
Ni: 0.0000 0.5000 0.2500
Ni: 0.0000 0.5000 0.7500
Ni: 0.5000 0.0000 0.2500
Ni: 0.5000 0.0000 0.7500
As: 0.0000 0.0000 0.3667
As: 0.0000 0.0000 0.6333
As: 0.5000 0.5000 0.1333
As: 0.5000 0.5000 0.8667